[1]
Structure and computed XRD peak list of NdS2 (a crystal structure in the Materials Project, relaxed with GGA-PBE; Cu Ka).
Kinematic intensities with the Lorentz-polarization factor, no thermal factor.

Atomic structure:
```
NdS2
1.0
8.146 0.000 0.000
0.000 4.049 0.000
-0.018 0.000 8.067
Nd S
4 8
direct
0.224 0.211 0.371
0.224 0.289 0.871
0.776 0.711 0.129
0.776 0.789 0.629
0.133 0.739 0.126
0.133 0.761 0.626
0.497 0.656 0.392
0.497 0.844 0.892
0.503 0.156 0.108
0.503 0.344 0.608
0.867 0.239 0.374
0.867 0.261 0.874
```

Principal peaks in the range 2θ = 5–70°, low angle first:
- 21.82 deg, d = 4.073 Å, I = 28
- 24.59 deg, d = 3.620 Å, I = 100
- 31.30 deg, d = 2.858 Å, I = 44
- 32.99 deg, d = 2.715 Å, I = 14
- 33.23 deg, d = 2.696 Å, I = 18
- 38.48 deg, d = 2.339 Å, I = 62
- 40.00 deg, d = 2.254 Å, I = 44
- 44.77 deg, d = 2.024 Å, I = 11
- 44.95 deg, d = 2.017 Å, I = 16
- 61.61 deg, d = 1.505 Å, I = 18

[2]
Structure and computed XRD peak list of PrAgAu2 (a crystal structure in the Materials Project, relaxed with GGA-PBE; Cu Ka).
Kinematic intensities with the Lorentz-polarization factor, no thermal factor.

Atomic structure:
```
PrAgAu2
1.0
7.131 0.000 0.000
0.000 7.131 0.000
0.000 0.000 7.131
Pr Ag Au
4 4 8
direct
0.000 0.000 0.000
0.000 0.500 0.500
0.500 0.000 0.500
0.500 0.500 0.000
0.000 0.000 0.500
0.000 0.500 0.000
0.500 0.000 0.000
0.500 0.500 0.500
0.250 0.250 0.250
0.250 0.250 0.750
0.250 0.750 0.250
0.250 0.750 0.750
0.750 0.250 0.250
0.750 0.250 0.750
0.750 0.750 0.250
0.750 0.750 0.750
```

Principal peaks in the range 2θ = 5–70°, low angle first:
- 24.97 deg, d = 3.565 Å, I = 6
- 35.61 deg, d = 2.521 Å, I = 100
- 43.99 deg, d = 2.058 Å, I = 2
- 51.25 deg, d = 1.783 Å, I = 18
- 57.83 deg, d = 1.594 Å, I = 3
- 63.96 deg, d = 1.456 Å, I = 36

[3]
Structure and computed XRD peak list of Rb2Sr2C3O9 (a crystal structure in the Materials Project, relaxed with GGA-PBE; Cu Ka).
Kinematic intensities with the Lorentz-polarization factor, no thermal factor.

Atomic structure:
```
Rb2Sr2C3O9
1.0
-4.972 4.972 4.972
4.972 -4.972 4.972
4.972 4.972 -4.972
Rb Sr C O
4 4 6 18
direct
0.000 0.630 0.500
0.500 0.000 0.630
0.630 0.500 0.000
0.870 0.870 0.870
0.000 0.076 0.500
0.076 0.500 0.000
0.424 0.424 0.424
0.500 0.000 0.076
0.166 0.916 0.250
0.250 0.166 0.916
0.334 0.584 0.750
0.584 0.750 0.334
0.750 0.334 0.584
0.916 0.250 0.166
0.034 0.784 0.250
0.089 0.390 0.260
0.110 0.199 0.870
0.199 0.870 0.110
0.240 0.630 0.829
0.250 0.034 0.784
0.260 0.089 0.390
0.301 0.411 0.671
0.390 0.260 0.089
0.411 0.671 0.301
0.466 0.716 0.750
0.630 0.829 0.240
0.671 0.301 0.411
0.716 0.750 0.466
0.750 0.466 0.716
0.784 0.250 0.034
0.829 0.240 0.630
0.870 0.110 0.199
```

Principal peaks in the range 2θ = 5–70°, low angle first:
- 21.89 deg, d = 4.060 Å, I = 12
- 25.33 deg, d = 3.516 Å, I = 46
- 28.38 deg, d = 3.145 Å, I = 100
- 33.72 deg, d = 2.658 Å, I = 63
- 40.57 deg, d = 2.224 Å, I = 13
- 42.64 deg, d = 2.120 Å, I = 15
- 44.64 deg, d = 2.030 Å, I = 19
- 46.57 deg, d = 1.950 Å, I = 67
- 50.25 deg, d = 1.816 Å, I = 16
- 69.45 deg, d = 1.353 Å, I = 18

[4]
Structure and computed XRD peak list of CaAgAs (a crystal structure in the Materials Project, relaxed with GGA-PBE; Cu Ka).
Kinematic intensities with the Lorentz-polarization factor, no thermal factor.

Atomic structure:
```
CaAgAs
1.0
7.266 0.000 0.000
-3.633 6.293 0.000
0.000 0.000 4.313
Ca Ag As
3 3 3
direct
0.000 0.413 0.000
0.413 0.000 0.000
0.587 0.587 0.000
0.000 0.749 0.500
0.251 0.251 0.500
0.749 0.000 0.500
0.000 0.000 0.000
0.333 0.667 0.500
0.667 0.333 0.500
```

Principal peaks in the range 2θ = 5–70°, low angle first:
- 20.59 deg, d = 4.313 Å, I = 43
- 24.50 deg, d = 3.633 Å, I = 26
- 32.22 deg, d = 2.779 Å, I = 100
- 35.31 deg, d = 2.542 Å, I = 99
- 37.83 deg, d = 2.378 Å, I = 64
- 41.89 deg, d = 2.156 Å, I = 40
- 43.13 deg, d = 2.098 Å, I = 36
- 43.45 deg, d = 2.083 Å, I = 83
- 57.71 deg, d = 1.598 Å, I = 35
- 68.54 deg, d = 1.369 Å, I = 36

[5]
Structure and computed XRD peak list of Ce2P2RuO (a crystal structure in the Materials Project, relaxed with GGA-PBE; Cu Ka).
Kinematic intensities with the Lorentz-polarization factor, no thermal factor.

Atomic structure:
```
Ce2P2RuO
1.0
2.934 0.000 0.000
0.000 2.934 0.000
0.000 0.000 14.155
Ce P Ru O
2 2 1 1
direct
0.000 0.000 0.146
0.000 0.000 0.854
0.000 0.000 0.343
0.000 0.000 0.657
0.000 0.000 0.500
0.000 0.000 0.000
```

Principal peaks in the range 2θ = 5–70°, low angle first:
- 6.24 deg, d = 14.155 Å, I = 15
- 18.81 deg, d = 4.718 Å, I = 60
- 30.47 deg, d = 2.934 Å, I = 100
- 36.05 deg, d = 2.492 Å, I = 48
- 38.15 deg, d = 2.359 Å, I = 18
- 39.91 deg, d = 2.259 Å, I = 12
- 43.63 deg, d = 2.075 Å, I = 36
- 47.90 deg, d = 1.899 Å, I = 22
- 49.58 deg, d = 1.839 Å, I = 33
- 59.32 deg, d = 1.558 Å, I = 19

[6]
Structure and computed XRD peak list of Ir3Rh (a crystal structure in the Materials Project, relaxed with GGA-PBE; Cu Ka).
Kinematic intensities with the Lorentz-polarization factor, no thermal factor.

Atomic structure:
```
Ir3Rh
1.0
3.869 0.000 0.000
0.000 3.869 0.000
0.000 0.000 3.869
Ir Rh
3 1
direct
0.000 0.000 0.500
0.000 0.500 0.000
0.500 0.000 0.000
0.500 0.500 0.500
```

Principal peaks in the range 2θ = 5–70°, low angle first:
- 22.99 deg, d = 3.869 Å, I = 5
- 32.73 deg, d = 2.736 Å, I = 4
- 40.38 deg, d = 2.234 Å, I = 100
- 46.97 deg, d = 1.935 Å, I = 49
- 52.91 deg, d = 1.730 Å, I = 2
- 58.43 deg, d = 1.580 Å, I = 2
- 68.60 deg, d = 1.368 Å, I = 32

[7]
Structure and computed XRD peak list of K2CuCl4O2 (a crystal structure in the Materials Project, relaxed with GGA-PBE; Cu Ka).
Kinematic intensities with the Lorentz-polarization factor, no thermal factor.

Atomic structure:
```
K2CuCl4O2
1.0
8.214 0.000 0.000
0.000 8.214 0.000
0.000 0.000 7.982
K Cu Cl O
4 2 8 4
direct
0.000 0.500 0.250
0.000 0.500 0.750
0.500 0.000 0.250
0.500 0.000 0.750
0.000 0.000 0.000
0.500 0.500 0.500
0.182 0.182 0.257
0.182 0.182 0.743
0.318 0.682 0.243
0.318 0.682 0.757
0.682 0.318 0.243
0.682 0.318 0.757
0.818 0.818 0.257
0.818 0.818 0.743
0.000 0.000 0.222
0.000 0.000 0.778
0.500 0.500 0.278
0.500 0.500 0.722
```

Principal peaks in the range 2θ = 5–70°, low angle first:
- 15.48 deg, d = 5.724 Å, I = 90
- 21.64 deg, d = 4.107 Å, I = 31
- 22.27 deg, d = 3.991 Å, I = 74
- 24.23 deg, d = 3.673 Å, I = 63
- 26.72 deg, d = 3.337 Å, I = 56
- 27.11 deg, d = 3.289 Å, I = 40
- 30.79 deg, d = 2.904 Å, I = 100
- 33.15 deg, d = 2.703 Å, I = 51
- 41.48 deg, d = 2.177 Å, I = 84
- 45.48 deg, d = 1.994 Å, I = 41

Question: What is the formula in the first record?
Answer: NdS2

Question: Which formula does entry 1 have?
Answer: NdS2